Theoretical XRD peak list
Compound: K4Ce3PaSe8
Radiation: Cu Kα, 1.54184 Å
Structure: a GGA-PBE-relaxed structure
Kinematic intensities with the Lorentz-polarization factor, no thermal factor.

Structural model:
```
16
Lattice="7.538 -4.345 0.000 7.538 4.345 0.000 -5.028 0.000 7.697" Properties=species:S:1:pos:R:3 pbc="T T T"
K 0.000 0.000 0.000
K 3.769 2.172 0.000
K 3.769 -2.172 0.000
K 7.538 0.000 0.000
Ce -2.514 0.000 3.848
Ce 1.255 2.172 3.848
Ce 1.255 -2.172 3.848
Pa 5.024 0.000 3.848
Se -0.001 0.000 5.482
Se 3.803 2.111 5.463
Se 2.582 0.000 2.234
Se 6.245 2.111 2.234
Se 3.803 -2.111 5.463
Se 7.466 0.000 5.462
Se 6.245 -2.111 2.234
Se 10.048 0.000 2.215
```

Peak list (8 most intense, 10 to 80 degrees two-theta, sorted by position)
| d (Å) | Rel. int. |
| --- | --- |
| 7.697 | 52 |
| 3.717 | 13 |
| 3.154 | 100 |
| 2.481 | 18 |
| 2.291 | 35 |
| 2.174 | 36 |
| 1.790 | 19 |
| 1.382 | 16 |

---

Theoretical XRD peak list
Compound: K4Ce3PdS8
Radiation: Cu Kα, 1.54184 Å
Structure: a GGA-PBE-relaxed structure
Kinematic intensities with the Lorentz-polarization factor, no thermal factor.

Structural model:
```
16
Lattice="7.355 -3.989 0.000 7.355 3.989 0.000 -4.520 0.000 7.402" Properties=species:S:1:pos:R:3 pbc="T T T"
K 0.000 0.000 0.000
K 3.678 1.994 0.000
K 3.678 -1.994 0.000
K 7.355 0.000 0.000
Ce -2.260 0.000 3.701
Ce 1.418 1.994 3.701
Ce 1.418 -1.994 3.701
Pd 5.095 0.000 3.701
S 0.172 0.000 5.227
S 2.178 0.000 1.990
S 3.974 1.789 5.031
S 6.217 1.789 2.371
S 3.974 -1.789 5.031
S 6.217 -1.789 2.371
S 8.013 0.000 5.412
S 10.018 0.000 2.175
```

Peak list (8 most intense, 10 to 80 degrees two-theta, sorted by position)
| d (Å) | Rel. int. |
| --- | --- |
| 7.402 | 100 |
| 3.701 | 24 |
| 3.366 | 30 |
| 3.139 | 58 |
| 2.931 | 95 |
| 2.203 | 35 |
| 2.087 | 34 |
| 1.854 | 18 |

---

Theoretical XRD peak list
Compound: KCePm4Se8
Radiation: Cu Kα, 1.54184 Å
Structure: a GGA-PBE-relaxed structure
Kinematic intensities with the Lorentz-polarization factor, no thermal factor.

Structural model:
```
14
Lattice="4.389 2.534 7.226 -4.389 2.534 7.226 0.000 -5.067 7.226" Properties=species:S:1:pos:R:3 pbc="T T T"
K 0.000 0.000 0.000
Ce 0.000 0.000 8.052
Pm 0.000 -2.623 11.767
Pm -2.271 1.311 11.767
Pm 0.000 0.000 16.242
Pm 2.271 1.311 11.767
Se 0.000 -2.228 6.199
Se -1.930 1.114 6.199
Se 0.000 0.000 3.025
Se -2.074 -1.197 10.007
Se 1.930 1.114 6.199
Se 0.000 0.000 13.376
Se 2.074 -1.197 10.007
Se 0.000 2.395 10.007
```

Peak list (8 most intense, 10 to 80 degrees two-theta, sorted by position)
| d (Å) | Rel. int. |
| --- | --- |
| 7.188 | 51 |
| 3.756 | 77 |
| 3.744 | 27 |
| 3.112 | 100 |
| 2.397 | 50 |
| 2.206 | 69 |
| 2.194 | 68 |
| 1.556 | 21 |

---

Theoretical XRD peak list
Compound: K3CePr3Se8
Radiation: Cu Kα, 1.54184 Å
Structure: a GGA-PBE-relaxed structure
Kinematic intensities with the Lorentz-polarization factor, no thermal factor.

Structural model:
```
15
Lattice="4.343 2.507 7.802 -4.343 2.507 7.802 0.000 -5.015 7.802" Properties=species:S:1:pos:R:3 pbc="T T T"
K -2.171 -1.254 7.802
K -2.171 1.254 15.604
K 0.000 2.507 7.802
Ce 0.000 0.000 11.703
Pr -4.343 0.000 11.703
Pr -2.171 1.254 3.901
Pr 2.171 1.254 3.901
Se 0.000 0.000 5.554
Se -2.097 -1.211 13.283
Se 0.000 -2.422 10.122
Se -2.097 1.211 10.122
Se 2.097 -1.211 13.283
Se 0.000 2.422 13.283
Se 2.097 1.211 10.122
Se 0.000 0.000 17.851
```

Peak list (8 most intense, 10 to 80 degrees two-theta, sorted by position)
| d (Å) | Rel. int. |
| --- | --- |
| 7.802 | 63 |
| 3.164 | 100 |
| 2.499 | 22 |
| 2.309 | 33 |
| 2.171 | 37 |
| 2.092 | 15 |
| 1.790 | 19 |
| 1.381 | 15 |